Structure and theoretical powder diffractogram of ThCrI2O10 (a crystal structure in the Materials Project, relaxed with GGA+U; Cu Ka).

Crystal structure
Cell: 7.484 9.465 12.077 Å, 90.00 90.00 90.00°
Atoms (fractional coordinates):
Th 0.216 0.022 0.175
Th 0.284 0.978 0.675
Th 0.716 0.478 0.825
Th 0.784 0.522 0.325
Cr 0.195 0.554 0.697
Cr 0.305 0.446 0.197
Cr 0.695 0.946 0.303
Cr 0.805 0.054 0.803
I 0.148 0.259 0.457
I 0.224 0.735 0.418
I 0.276 0.265 0.918
I 0.352 0.741 0.957
I 0.648 0.241 0.543
I 0.724 0.765 0.582
I 0.776 0.235 0.082
I 0.852 0.759 0.043
O 0.008 0.176 0.075
O 0.010 0.474 0.746
O 0.072 0.852 0.049
O 0.076 0.149 0.573
O 0.120 0.134 0.340
O 0.136 0.468 0.287
O 0.157 0.726 0.680
O 0.183 0.897 0.494
O 0.224 0.810 0.279
O 0.247 0.489 0.574
O 0.253 0.511 0.074
O 0.276 0.190 0.779
O 0.317 0.103 0.994
O 0.343 0.274 0.180
O 0.364 0.532 0.787
O 0.380 0.866 0.840
O 0.424 0.851 0.073
O 0.428 0.148 0.549
O 0.490 0.526 0.246
O 0.492 0.824 0.575
O 0.508 0.324 0.925
O 0.510 0.026 0.254
O 0.572 0.648 0.951
O 0.576 0.351 0.427
O 0.620 0.366 0.660
O 0.636 0.032 0.713
O 0.657 0.774 0.320
O 0.683 0.603 0.506
O 0.724 0.690 0.721
O 0.747 0.011 0.426
O 0.753 0.989 0.926
O 0.776 0.310 0.221
O 0.817 0.397 0.006
O 0.843 0.226 0.820
O 0.864 0.968 0.213
O 0.880 0.634 0.160
O 0.924 0.649 0.927
O 0.928 0.352 0.451
O 0.990 0.974 0.754
O 0.992 0.676 0.425

Main lines, in order of rising 2θ (10 to 90 degrees two-theta):
- 2θ = 15.09°, rel. 29, (1 1 0)
- 2θ = 17.42°, rel. 23, (0 1 2)
- 2θ = 23.78°, rel. 37, (2 0 0)
- 2θ = 23.89°, rel. 51, (0 2 2)
- 2θ = 26.72°, rel. 100, (1 2 2)
- 2θ = 31.36°, rel. 15, (2 2 1)
- 2θ = 31.96°, rel. 38, (1 0 4)
- 2θ = 33.97°, rel. 14, (2 2 2)
- 2θ = 38.03°, rel. 13, (0 4 0)
- 2θ = 43.70°, rel. 22, (3 2 2)
- 2θ = 50.28°, rel. 14, (4 1 1)
- 2θ = 50.50°, rel. 20, (1 4 4)